The following is a theoretical X-ray powder pattern of LiMg3Tl6. It was derived from a PBE-relaxed structure, using λ = 1.5418 Å (Cu Kα).

Structure:
```
data_LiMg3Tl6
_space_group_name_H-M_alt 'R -3'
_space_group_IT_number 148
_space_group_name_Hall '-R 3'
_cell_length_a 13.7246
_cell_length_b 13.7246
_cell_length_c 9.7477
_cell_angle_alpha 90.00
_cell_angle_beta 90.00
_cell_angle_gamma 120.00
loop_
_atom_site_label
_atom_site_fract_x
_atom_site_fract_y
_atom_site_fract_z
_atom_site_occupancy
Li1 0.0000 0.0000 0.0000 1
Li2 0.0000 0.0000 0.5000 1
Mg1 0.0047 0.8642 0.2425 1
Tl1 0.0288 0.7823 0.9129 1
Tl2 0.0680 0.4873 0.1378 1
```

Main lines, low angle first (2θ from 10° to 80°):
| 2theta | d [Å] | intensity | index |
| --- | --- | --- | --- |
| 12.9 | 6.862 | 60 | 1 1 0 |
| 27.0 | 3.303 | 73 | 1 2 2 |
| 28.6 | 3.123 | 58 | 4 -3 1 |
| 30.4 | 2.937 | 56 | 2 -1 3 |
| 31.5 | 2.842 | 18 | 4 0 1 |
| 32.8 | 2.731 | 22 | 4 -1 2 |
| 34.1 | 2.626 | 100 | 5 -2 1 |
| 34.6 | 2.594 | 22 | 1 4 0 |
| 37.8 | 2.380 | 43 | 2 3 2 |
| 44.7 | 2.027 | 22 | 5 -1 3 |
| 51.1 | 1.788 | 19 | 3 -2 5 |
| 68.1 | 1.377 | 19 | 4 1 6 |